Simulated powder diffractogram
Compound: Mn3O2F4
Radiation: copper Kα
Structure: DFT lattice parameters and positions (GGA+U)
Kinematic intensities with the Lorentz-polarization factor, no thermal factor.

Cell and atoms:
```
data_Mn3O2F4
_chemical_formula_sum 'Mn6 O4 F8'
_symmetry_space_group_name_H-M 'P 1'
_symmetry_Int_Tables_number 1
_symmetry_space_group_name_Hall 'P 1'
_cell_length_a 4.7334
_cell_length_b 4.7334
_cell_length_c 9.7398
_cell_angle_alpha 90.86
_cell_angle_beta 90.86
_cell_angle_gamma 89.89
loop_
_atom_site_label
_atom_site_fract_x
_atom_site_fract_y
_atom_site_fract_z
_atom_site_occupancy
Mn1 0.0000 0.0000 0.0000 1
Mn2 0.0299 0.9606 0.3248 1
Mn3 0.0394 0.9701 0.6752 1
Mn4 0.4677 0.4726 0.8259 1
Mn5 0.5013 0.4987 0.5000 1
Mn6 0.5274 0.5323 0.1741 1
O1 0.1936 0.1685 0.8329 1
O2 0.3092 0.6651 0.6692 1
O3 0.3349 0.6908 0.3308 1
O4 0.8315 0.8064 0.1671 1
F1 0.2181 0.1580 0.4882 1
F2 0.2337 0.2163 0.1634 1
F3 0.3059 0.6941 0.0000 1
F4 0.6872 0.3128 0.0000 1
F5 0.7231 0.2604 0.6605 1
F6 0.7396 0.2769 0.3395 1
F7 0.7837 0.7663 0.8366 1
F8 0.8420 0.7819 0.5118 1
```

Main lines, in order of rising 2θ (5 to 70 degrees two-theta):
d_spacing  2θ (°)  I_rel
3.347  26.64  100
2.696  33.23  33
2.658  33.72  26
2.329  38.66  12
1.790  51.01  17
1.778  51.40  16
1.767  51.74  14
1.758  52.03  14
1.623  56.72  11
1.427  65.38  11